The following is a computed XRD peak list of Ho2Al5Cu4. It was derived from the GGA-PBE geometry in Alexandria, using Cu Kα (λ = 1.5418 Å).

Peak list (10 most intense, 15° ≤ 2θ ≤ 90°, most intense first)
37.72 deg, intensity 1000; 40.98 deg, intensity 735; 33.54 deg, intensity 695; 23.77 deg, intensity 671; 30.54 deg, intensity 418; 32.88 deg, intensity 401; 54.63 deg, intensity 381; 38.19 deg, intensity 318; 61.93 deg, intensity 248; 26.01 deg, intensity 241

Structure:
```
data_Ho2Al5Cu4
_chemical_formula_sum 'Ho2 Al5 Cu4'
_symmetry_space_group_name_H-M 'P 1'
_symmetry_Int_Tables_number 1
_symmetry_space_group_name_Hall 'P 1'
_cell_length_a 8.8372
_cell_length_b 7.9654
_cell_length_c 5.4303
_cell_angle_alpha 80.12
_cell_angle_beta 62.62
_cell_angle_gamma 37.26
loop_
_atom_site_label
_atom_site_type_symbol
_atom_site_fract_x
_atom_site_fract_y
_atom_site_fract_z
_atom_site_occupancy
Ho1 Ho 0.1345 0.1345 0.8655 1
Ho2 Ho 0.8655 0.8655 0.1345 1
Al1 Al 0.0000 0.0000 0.5000 1
Al2 Al 0.2500 0.2500 0.2500 1
Al3 Al 0.5000 0.5000 0.0000 1
Al4 Al 0.5000 0.5000 0.5000 1
Al5 Al 0.7500 0.7500 0.7500 1
Cu1 Cu 0.2242 0.5070 0.4930 1
Cu2 Cu 0.4930 0.7758 0.2242 1
Cu3 Cu 0.5070 0.2242 0.7758 1
Cu4 Cu 0.7758 0.4930 0.5070 1
```